Structure and simulated powder X-ray diffraction pattern of Na3VH11IO13 (the GGA+U geometry in the Materials Project; CuKα).

Crystal structure
abc: 6.3067 9.0313 11.4543
angles: 70.05 83.90 80.70
Space group P-1 (No. 2)
Asymmetric unit:
1 Na 0.0781 0.2319 0.4263 (multiplicity 2)
2 Na 0.1013 0.4752 0.8526 (multiplicity 2)
3 Na 0.1742 0.0729 0.1597 (multiplicity 2)
4 V 0.4482 0.8239 0.4621 (multiplicity 2)
5 H 0.0544 0.8156 0.0645 (multiplicity 2)
6 H 0.1011 0.4231 0.6185 (multiplicity 2)
7 H 0.1452 0.5657 0.3542 (multiplicity 2)
8 H 0.1853 0.1358 0.9047 (multiplicity 2)
9 H 0.2064 0.1348 0.7035 (multiplicity 2)
10 H 0.3089 0.5911 0.9893 (multiplicity 2)
11 H 0.3484 0.4097 0.0749 (multiplicity 2)
12 H 0.3763 0.8409 0.0061 (multiplicity 2)
13 H 0.3859 0.7514 0.1500 (multiplicity 2)
14 H 0.4263 0.3714 0.6802 (multiplicity 2)
15 H 0.4948 0.5183 0.7076 (multiplicity 2)
16 I 0.3494 0.8618 0.7213 (multiplicity 2)
17 O 0.0198 0.5199 0.3449 (multiplicity 2)
18 O 0.0935 0.1976 0.9507 (multiplicity 2)
19 O 0.1111 0.7582 0.7530 (multiplicity 2)
20 O 0.1733 0.0344 0.7725 (multiplicity 2)
21 O 0.2359 0.4978 0.0352 (multiplicity 2)
22 O 0.2474 0.7335 0.4504 (multiplicity 2)
23 O 0.2849 0.9795 0.5503 (multiplicity 2)
24 O 0.3133 0.8478 0.0873 (multiplicity 2)
25 O 0.3193 0.2756 0.5868 (multiplicity 2)
26 O 0.4138 0.0079 0.3162 (multiplicity 2)
27 O 0.4595 0.7616 0.8768 (multiplicity 2)
28 O 0.4609 0.4079 0.7477 (multiplicity 2)
29 O 0.4747 0.2765 0.3588 (multiplicity 2)

The 6 most intense peaks (10 to 90 degrees two-theta), most intense first:
| (hkl) | 2θ/deg | I (rel.) |
| --- | --- | --- |
| 0 1 1 | 11.01 | 100 |
| 1 0 1 | 16.08 | 69 |
| 0 1 0 | 10.52 | 68 |
| 1 -1 0 | 18.86 | 42 |
| 0 2 -1 | 25.15 | 33 |
| 1 1 1 | 16.49 | 32 |

***

Structure and simulated powder X-ray diffraction pattern of Li9Mn2Co5O16 (the GGA+U geometry in the Materials Project; CuKα).

Crystal structure
abc: 5.1086 2.9236 19.4013
angles: 90.00 94.71 90.00
Space group Pm (No. 6)
Asymmetric unit:
1 Li 0.0000 0.0000 0.0000 (multiplicity 1)
2 Li 0.0044 0.5000 0.4948 (multiplicity 1)
3 Li 0.2618 0.0000 0.7388 (multiplicity 1)
4 Li 0.2678 0.5000 0.2327 (multiplicity 1)
5 Li 0.5074 0.5000 0.9999 (multiplicity 1)
6 Li 0.5148 0.0000 0.4941 (multiplicity 1)
7 Li 0.7559 0.5000 0.7366 (multiplicity 1)
8 Li 0.7613 0.0000 0.2308 (multiplicity 1)
9 Li 0.8850 0.5000 0.1164 (multiplicity 1)
10 Mn 0.1327 0.5000 0.8673 (multiplicity 1)
11 Mn 0.1356 0.0000 0.3644 (multiplicity 1)
12 Co 0.3842 0.0000 0.1161 (multiplicity 1)
13 Co 0.3837 0.5000 0.6156 (multiplicity 1)
14 Co 0.6333 0.0000 0.8677 (multiplicity 1)
15 Co 0.6362 0.5000 0.3647 (multiplicity 1)
16 Co 0.8848 0.0000 0.6159 (multiplicity 1)
17 O 0.0755 0.5000 0.6742 (multiplicity 1)
18 O 0.1158 0.0000 0.1713 (multiplicity 1)
19 O 0.2027 0.0000 0.5563 (multiplicity 1)
20 O 0.2112 0.5000 0.0608 (multiplicity 1)
21 O 0.2890 0.0000 0.9230 (multiplicity 1)
22 O 0.3074 0.5000 0.4202 (multiplicity 1)
23 O 0.4357 0.5000 0.8125 (multiplicity 1)
24 O 0.4688 0.0000 0.3076 (multiplicity 1)
25 O 0.5593 0.5000 0.1715 (multiplicity 1)
26 O 0.5674 0.0000 0.6754 (multiplicity 1)
27 O 0.6539 0.0000 0.0606 (multiplicity 1)
28 O 0.6927 0.5000 0.5572 (multiplicity 1)
29 O 0.8063 0.0000 0.4230 (multiplicity 1)
30 O 0.8319 0.5000 0.9230 (multiplicity 1)
31 O 0.9633 0.5000 0.3085 (multiplicity 1)
32 O 0.9738 0.0000 0.8103 (multiplicity 1)

The 6 most intense peaks (10 to 90 degrees two-theta), most intense first:
| (hkl) | 2θ/deg | I (rel.) |
| --- | --- | --- |
| 0 0 4 | 18.35 | 100 |
| 1 1 5 | 43.47 | 82 |
| 3 1 -1 | 63.15 | 29 |
| 1 1 1 | 35.91 | 27 |
| 2 0 -2 | 35.73 | 14 |
| 1 1 9 | 57.33 | 10 |

***

Structure and simulated powder X-ray diffraction pattern of Li4Cr3Fe2Sn3O16 (the GGA+U geometry in the Materials Project; CuKα).

Crystal structure
abc: 6.0910 6.0983 9.6661
angles: 89.54 89.79 60.10
Space group P1 (No. 1)
Asymmetric unit:
1 Li 0.0000 0.0000 0.0000 (multiplicity 1)
2 Li 0.0023 0.0079 0.5084 (multiplicity 1)
3 Li 0.3224 0.3183 0.6119 (multiplicity 1)
4 Li 0.6554 0.6596 0.1036 (multiplicity 1)
5 Cr 0.1596 0.1644 0.2851 (multiplicity 1)
6 Cr 0.3302 0.8219 0.7865 (multiplicity 1)
7 Cr 0.8196 0.3309 0.7881 (multiplicity 1)
8 Fe 0.3137 0.3299 0.0073 (multiplicity 1)
9 Fe 0.6495 0.6552 0.5126 (multiplicity 1)
10 Sn 0.1584 0.6553 0.2868 (multiplicity 1)
11 Sn 0.6509 0.1628 0.2866 (multiplicity 1)
12 Sn 0.8210 0.8218 0.7863 (multiplicity 1)
13 O 0.0268 0.4712 0.1584 (multiplicity 1)
14 O 0.1419 0.1697 0.8922 (multiplicity 1)
15 O 0.1546 0.6679 0.9044 (multiplicity 1)
16 O 0.3184 0.8306 0.4031 (multiplicity 1)
17 O 0.3187 0.3225 0.4023 (multiplicity 1)
18 O 0.4660 0.0323 0.1570 (multiplicity 1)
19 O 0.4716 0.4769 0.1548 (multiplicity 1)
20 O 0.5058 0.9496 0.6575 (multiplicity 1)
21 O 0.5205 0.5028 0.6702 (multiplicity 1)
22 O 0.6543 0.6515 0.8971 (multiplicity 1)
23 O 0.6658 0.1688 0.9000 (multiplicity 1)
24 O 0.8268 0.3231 0.4026 (multiplicity 1)
25 O 0.8290 0.8316 0.4093 (multiplicity 1)
26 O 0.9499 0.4970 0.6626 (multiplicity 1)
27 O 0.9922 0.0007 0.6917 (multiplicity 1)
28 O 0.9946 0.9994 0.1850 (multiplicity 1)

The 6 most intense peaks (10 to 90 degrees two-theta), most intense first:
| (hkl) | 2θ/deg | I (rel.) |
| --- | --- | --- |
| 0 0 2 | 18.36 | 100 |
| 2 0 1 | 35.27 | 65 |
| 1 0 -1 | 19.13 | 62 |
| 1 1 -1 | 19.21 | 51 |
| 2 2 1 | 35.17 | 35 |
| 2 -2 0 | 60.72 | 32 |

***

Structure and simulated powder X-ray diffraction pattern of MgMn2O4 (the GGA+U geometry in the Materials Project; CuKα).

Crystal structure
abc: 3.0853 3.0858 10.7287
angles: 81.80 81.79 60.53
Space group P1 (No. 1)
Asymmetric unit:
1 Mg 0.0000 0.0000 0.0000 (multiplicity 1)
2 Mn 0.4209 0.4256 0.7152 (multiplicity 1)
3 Mn 0.9039 0.9087 0.2628 (multiplicity 1)
4 O 0.0599 0.0646 0.8133 (multiplicity 1)
5 O 0.2184 0.2231 0.3248 (multiplicity 1)
6 O 0.6392 0.6392 0.0784 (multiplicity 1)
7 O 0.7786 0.7834 0.6364 (multiplicity 1)

The 6 most intense peaks (10 to 90 degrees two-theta), most intense first:
| (hkl) | 2θ/deg | I (rel.) |
| --- | --- | --- |
| 0 0 2 | 16.76 | 100 |
| 1 0 1 | 33.84 | 33 |
| 0 0 3 | 25.25 | 31 |
| 0 1 -1 | 35.27 | 23 |
| 2 1 1 | 59.96 | 22 |
| 0 1 3 | 40.56 | 21 |

***

Structure and simulated powder X-ray diffraction pattern of PrMgCo4O12 (the GGA+U geometry in the Materials Project; CuKα).

Crystal structure
abc: 7.5543 7.3860 7.3295
angles: 90.00 90.00 90.00
Space group Amm2 (No. 38)
Asymmetric unit:
1 Pr 0.0000 0.0000 0.0000 (multiplicity 2)
2 Mg 0.5000 0.0000 0.4506 (multiplicity 2)
3 Co 0.2604 0.2443 0.7224 (multiplicity 8)
4 O 0.0000 0.2077 0.7245 (multiplicity 4)
5 O 0.2163 0.0000 0.2540 (multiplicity 4)
6 O 0.2522 0.2095 0.9727 (multiplicity 8)
7 O 0.3148 0.0000 0.6627 (multiplicity 4)
8 O 0.5000 0.1972 0.2546 (multiplicity 4)

The 6 most intense peaks (10 to 90 degrees two-theta), most intense first:
| (hkl) | 2θ/deg | I (rel.) |
| --- | --- | --- |
| 1 1 1 | 20.73 | 100 |
| 2 2 0 | 33.95 | 63 |
| 0 2 2 | 34.48 | 57 |
| 2 0 2 | 34.09 | 48 |
| 0 1 1 | 17.04 | 32 |
| 4 0 0 | 48.18 | 26 |

***

Structure and simulated powder X-ray diffraction pattern of FeP2CO8 (the GGA+U geometry in the Materials Project; CuKα).

Crystal structure
abc: 8.4717 9.8138 10.6937
angles: 113.59 93.24 95.90
Space group P-1 (No. 2)
Asymmetric unit:
1 Fe 0.2263 0.0905 0.1005 (multiplicity 2)
2 Fe 0.2564 0.1336 0.6015 (multiplicity 2)
3 P 0.0886 0.3044 0.2677 (multiplicity 2)
4 P 0.0913 0.9922 0.3120 (multiplicity 2)
5 P 0.4138 0.0145 0.8214 (multiplicity 2)
6 P 0.4894 0.6576 0.2828 (multiplicity 2)
7 C 0.0903 0.2033 0.3857 (multiplicity 2)
8 C 0.4797 0.7818 0.0621 (multiplicity 2)
9 O 0.0056 0.5884 0.0851 (multiplicity 2)
10 O 0.0230 0.1794 0.1220 (multiplicity 2)
11 O 0.0274 0.4513 0.3193 (multiplicity 2)
12 O 0.0706 0.0872 0.6824 (multiplicity 2)
13 O 0.1369 0.2659 0.5100 (multiplicity 2)
14 O 0.1417 0.9426 0.1662 (multiplicity 2)
15 O 0.2223 0.9848 0.4142 (multiplicity 2)
16 O 0.2329 0.6489 0.6521 (multiplicity 2)
17 O 0.2733 0.2919 0.2578 (multiplicity 2)
18 O 0.2768 0.0322 0.9094 (multiplicity 2)
19 O 0.3476 0.5613 0.1953 (multiplicity 2)
20 O 0.3507 0.3274 0.7744 (multiplicity 2)
21 O 0.3800 0.0122 0.6820 (multiplicity 2)
22 O 0.4292 0.6793 0.9656 (multiplicity 2)
23 O 0.4591 0.0704 0.1562 (multiplicity 2)
24 O 0.4937 0.2302 0.5695 (multiplicity 2)

The 6 most intense peaks (10 to 90 degrees two-theta), most intense first:
| (hkl) | 2θ/deg | I (rel.) |
| --- | --- | --- |
| 1 -1 0 | 13.48 | 100 |
| 1 1 0 | 15.48 | 65 |
| -1 1 1 | 17.85 | 58 |
| 1 2 -3 | 28.56 | 53 |
| 2 0 -1 | 22.18 | 47 |
| 1 -2 0 | 21.27 | 45 |

***

Structure and simulated powder X-ray diffraction pattern of Ca2Nb2MoO8 (the GGA+U geometry in the Materials Project; CuKα).

Crystal structure
abc: 19.1470 6.3379 5.6077
angles: 90.00 92.39 90.00
Space group C2/c (No. 15)
Asymmetric unit:
1 Ca 0.2076 0.1794 0.2399 (multiplicity 8)
2 Nb 0.1130 0.3557 0.7619 (multiplicity 8)
3 Mo 0.0000 0.1342 0.2500 (multiplicity 4)
4 O 0.0565 0.1337 0.5946 (multiplicity 8)
5 O 0.0686 0.3717 0.0946 (multiplicity 8)
6 O 0.1788 0.4399 0.4922 (multiplicity 8)
7 O 0.1871 0.1501 0.8423 (multiplicity 8)

The 6 most intense peaks (10 to 90 degrees two-theta), most intense first:
| (hkl) | 2θ/deg | I (rel.) |
| --- | --- | --- |
| 0 2 1 | 32.46 | 100 |
| 5 1 -1 | 31.13 | 99 |
| 5 1 0 | 27.23 | 89 |
| 5 1 1 | 32.14 | 84 |
| 0 0 2 | 31.95 | 70 |
| 3 1 0 | 19.75 | 63 |

***

Structure and simulated powder X-ray diffraction pattern of Li9Mn2Co5O16 (the GGA+U geometry in the Materials Project; CuKα).

Crystal structure
abc: 5.8971 6.4415 7.8725
angles: 86.07 75.86 76.88
Space group P-1 (No. 2)
Asymmetric unit:
1 Li 0.0000 0.0000 0.0000 (multiplicity 1)
2 Li 0.0692 0.1250 0.6352 (multiplicity 2)
3 Li 0.1765 0.3665 0.8769 (multiplicity 2)
4 Li 0.3022 0.6322 0.1234 (multiplicity 2)
5 Li 0.4421 0.8766 0.3711 (multiplicity 2)
6 Mn 0.3713 0.7533 0.7549 (multiplicity 2)
7 Co 0.1221 0.2513 0.2443 (multiplicity 2)
8 Co 0.2521 0.4995 0.5020 (multiplicity 2)
9 Co 0.5000 0.0000 0.0000 (multiplicity 1)
10 O 0.0204 0.5437 0.3201 (multiplicity 2)
11 O 0.1132 0.6850 0.9270 (multiplicity 2)
12 O 0.1668 0.7942 0.5834 (multiplicity 2)
13 O 0.2324 0.9634 0.1828 (multiplicity 2)
14 O 0.2846 0.0456 0.8085 (multiplicity 2)
15 O 0.3483 0.2075 0.4331 (multiplicity 2)
16 O 0.4193 0.2951 0.0811 (multiplicity 2)
17 O 0.4866 0.4519 0.6815 (multiplicity 2)

The 6 most intense peaks (10 to 90 degrees two-theta), most intense first:
| (hkl) | 2θ/deg | I (rel.) |
| --- | --- | --- |
| 0 1 -1 | 18.43 | 100 |
| 2 0 3 | 42.05 | 31 |
| 2 1 -2 | 44.67 | 25 |
| 0 3 1 | 44.78 | 25 |
| 0 2 2 | 36.82 | 23 |
| 2 1 2 | 35.02 | 17 |